Theoretical X-ray powder pattern
Compound: NbNi2Se6
Radiation: CuKα
Structure: DFT lattice parameters and positions (PBE)
Kinematic intensities with the Lorentz-polarization factor, no thermal factor.

Peak list (8 most intense, 2θ from 10° to 90°, in order of rising 2θ)
Position (°2θ)	d_spacing	I_rel
28.76	3.105	100
30.44	2.937	45
32.67	2.741	44
34.48	2.601	100
34.61	2.592	32
42.43	2.131	69
50.59	1.804	57
50.69	1.801	45

Structural model:
```
data_NbNi2Se6
_chemical_formula_sum 'Nb2 Ni4 Se12'
_cell_length_a 11.746
_cell_length_b 3.602
_cell_length_c 9.076
_cell_angle_alpha 90.00
_cell_angle_beta 106.13
_cell_angle_gamma 90.00
_symmetry_space_group_name_H-M 'C 1 2/m 1'
_symmetry_Int_Tables_number 12
_symmetry_space_group_name_Hall '-C 2y'
loop_
_atom_site_label
_atom_site_fract_x
_atom_site_fract_y
_atom_site_fract_z
Nb1 0.000 0.000 0.000
Ni1 0.209 0.000 0.650
Se1 0.038 0.000 0.735
Se2 0.141 0.500 0.469
Se3 0.165 0.500 0.093
```


Theoretical X-ray powder pattern
Compound: La8PrEr4
Radiation: CuKα
Structure: DFT lattice parameters and positions (PBE)
Kinematic intensities with the Lorentz-polarization factor, no thermal factor.

Peak list (8 most intense, 2θ from 10° to 90°, in order of rising 2θ)
Position (°2θ)	d_spacing	I_rel
19.28	4.605	35
31.67	2.825	100
31.79	2.815	99
37.37	2.407	15
45.49	1.994	36
56.46	1.630	55
56.72	1.623	18
75.27	1.262	15

Structural model:
```
data_La8PrEr4
_chemical_formula_sum 'La24 Pr3 Er12'
_cell_length_a 11.3002
_cell_length_b 11.3002
_cell_length_c 13.7638
_cell_angle_alpha 90.00
_cell_angle_beta 90.00
_cell_angle_gamma 120.00
_symmetry_space_group_name_H-M 'R -3 m'
_symmetry_Int_Tables_number 166
_symmetry_space_group_name_Hall '-R 3 2"'
loop_
_atom_site_label
_atom_site_fract_x
_atom_site_fract_y
_atom_site_fract_z
La1 0.0000 0.0000 0.2377
La2 0.0159 0.5080 0.7451
Pr1 0.0000 0.0000 0.5000
Er1 0.0000 0.0000 0.0000
Er2 0.0000 0.5000 0.0000
```


Theoretical X-ray powder pattern
Compound: Rb2USe6
Radiation: CuKα
Structure: DFT lattice parameters and positions (PBE)
Kinematic intensities with the Lorentz-polarization factor, no thermal factor.

Peak list (8 most intense, 2θ from 10° to 90°, in order of rising 2θ)
Position (°2θ)	d_spacing	I_rel
12.46	7.104	83
18.75	4.733	26
26.64	3.346	24
32.36	2.767	100
33.13	2.704	23
37.99	2.369	26
38.07	2.364	22
41.46	2.178	17

Structural model:
```
data_Rb2USe6
_chemical_formula_sum 'Rb2 U1 Se6'
_cell_length_a 4.060
_cell_length_b 7.737
_cell_length_c 9.953
_cell_angle_alpha 67.25
_cell_angle_beta 78.82
_cell_angle_gamma 89.99
_symmetry_space_group_name_H-M 'P -1'
_symmetry_Int_Tables_number 2
_symmetry_space_group_name_Hall '-P 1'
loop_
_atom_site_label
_atom_site_fract_x
_atom_site_fract_y
_atom_site_fract_z
Rb1 0.213 0.181 0.134
U1 0.000 0.500 0.500
Se1 0.139 0.669 0.176
Se2 0.393 0.658 0.638
Se3 0.398 0.202 0.629
```


Theoretical X-ray powder pattern
Compound: NaMg5Sn4
Radiation: CuKα
Structure: DFT lattice parameters and positions (PBE)
Kinematic intensities with the Lorentz-polarization factor, no thermal factor.

Peak list (8 most intense, 2θ from 10° to 90°, in order of rising 2θ)
Position (°2θ)	d_spacing	I_rel
20.81	4.269	97
21.33	4.166	80
23.53	3.781	52
27.12	3.288	100
35.62	2.521	65
36.40	2.468	88
36.88	2.438	88
40.07	2.250	83

Structural model:
```
data_NaMg5Sn4
_chemical_formula_sum 'Na2 Mg10 Sn8'
_cell_length_a 18.002
_cell_length_b 3.368
_cell_length_c 10.164
_cell_angle_alpha 90.00
_cell_angle_beta 122.85
_cell_angle_gamma 90.00
_symmetry_space_group_name_H-M 'C 1 2/m 1'
_symmetry_Int_Tables_number 12
_symmetry_space_group_name_Hall '-C 2y'
loop_
_atom_site_label
_atom_site_fract_x
_atom_site_fract_y
_atom_site_fract_z
Na1 0.000 0.000 0.000
Mg1 0.000 0.000 0.500
Mg2 0.181 0.500 0.351
Mg3 0.182 0.500 0.017
Sn1 0.004 0.500 0.742
Sn2 0.189 0.500 0.694
```


Theoretical X-ray powder pattern
Compound: Sm8Ge5Te
Radiation: CuKα
Structure: DFT lattice parameters and positions (PBE)
Kinematic intensities with the Lorentz-polarization factor, no thermal factor.

Peak list (8 most intense, 2θ from 10° to 90°, in order of rising 2θ)
Position (°2θ)	d_spacing	I_rel
27.78	3.211	16
31.00	2.885	100
31.26	2.862	52
36.91	2.435	72
37.08	2.424	24
48.97	1.860	17
51.04	1.789	19
62.80	1.480	17

Structural model:
```
data_Sm8Ge5Te
_chemical_formula_sum 'Sm16 Ge10 Te2'
_cell_length_a 9.126
_cell_length_b 9.126
_cell_length_c 9.041
_cell_angle_alpha 90.00
_cell_angle_beta 90.00
_cell_angle_gamma 90.00
_symmetry_space_group_name_H-M 'I -4'
_symmetry_Int_Tables_number 82
_symmetry_space_group_name_Hall 'I -4'
loop_
_atom_site_label
_atom_site_fract_x
_atom_site_fract_y
_atom_site_fract_z
Sm1 0.066 0.188 0.187
Sm2 0.071 0.328 0.561
Ge1 0.000 0.500 0.250
Ge2 0.129 0.251 0.874
Te1 0.000 0.000 0.500
```


Theoretical X-ray powder pattern
Compound: CsPaNiTe4
Radiation: CuKα
Structure: DFT lattice parameters and positions (PBE)
Kinematic intensities with the Lorentz-polarization factor, no thermal factor.

Peak list (8 most intense, 2θ from 10° to 90°, in order of rising 2θ)
Position (°2θ)	d_spacing	I_rel
26.45	3.370	97
27.89	3.199	98
30.07	2.972	49
31.04	2.881	100
33.34	2.688	46
33.97	2.639	49
38.20	2.356	42
40.79	2.212	42

Structural model:
```
data_CsPaNiTe4
_chemical_formula_sum 'Cs2 Pa2 Ni2 Te8'
_cell_length_a 7.357
_cell_length_b 6.309
_cell_length_c 10.660
_cell_angle_alpha 90.00
_cell_angle_beta 105.56
_cell_angle_gamma 90.00
_symmetry_space_group_name_H-M 'P 1 21/m 1'
_symmetry_Int_Tables_number 11
_symmetry_space_group_name_Hall '-P 2yb'
loop_
_atom_site_label
_atom_site_fract_x
_atom_site_fract_y
_atom_site_fract_z
Cs1 0.223 0.250 0.043
Pa1 0.273 0.250 0.553
Ni1 0.279 0.750 0.359
Te1 0.001 0.000 0.689
Te2 0.425 0.750 0.597
Te3 0.454 0.750 0.186
```


Theoretical X-ray powder pattern
Compound: PaPd7Pt3
Radiation: CuKα
Structure: DFT lattice parameters and positions (PBE)
Kinematic intensities with the Lorentz-polarization factor, no thermal factor.

Peak list (8 most intense, 2θ from 10° to 90°, in order of rising 2θ)
Position (°2θ)	d_spacing	I_rel
18.10	4.900	18
22.30	3.986	13
39.04	2.307	100
39.45	2.284	32
45.51	1.993	64
66.05	1.414	21
66.61	1.404	21
79.74	1.203	25

Structural model:
```
data_PaPd7Pt3
_chemical_formula_sum 'Pa1 Pd7 Pt3'
_cell_length_a 5.6579
_cell_length_b 5.6579
_cell_length_c 6.8529
_cell_angle_alpha 90.00
_cell_angle_beta 90.00
_cell_angle_gamma 120.00
_symmetry_space_group_name_H-M 'P 3 m 1'
_symmetry_Int_Tables_number 156
_symmetry_space_group_name_Hall 'P 3 -2"'
loop_
_atom_site_label
_atom_site_fract_x
_atom_site_fract_y
_atom_site_fract_z
Pa1 0.0000 0.0000 0.0000
Pd1 0.3333 0.6667 0.3216
Pd2 0.3385 0.1693 0.3289
Pd3 0.5019 0.0039 0.9868
Pt1 0.1673 0.3346 0.6563
```


Theoretical X-ray powder pattern
Compound: Sc12C5S
Radiation: CuKα
Structure: DFT lattice parameters and positions (PBE)
Kinematic intensities with the Lorentz-polarization factor, no thermal factor.

Peak list (8 most intense, 2θ from 10° to 90°, in order of rising 2θ)
Position (°2θ)	d_spacing	I_rel
15.88	5.580	33
32.08	2.790	33
33.45	2.679	100
36.01	2.494	66
40.99	2.202	25
42.90	2.108	15
54.36	1.688	36
64.52	1.444	13

Structural model:
```
data_Sc12C5S
_chemical_formula_sum 'Sc24 C10 S2'
_cell_length_a 5.847
_cell_length_b 10.126
_cell_length_c 11.328
_cell_angle_alpha 90.00
_cell_angle_beta 99.88
_cell_angle_gamma 90.00
_symmetry_space_group_name_H-M 'C 1 2/m 1'
_symmetry_Int_Tables_number 12
_symmetry_space_group_name_Hall '-C 2y'
loop_
_atom_site_label
_atom_site_fract_x
_atom_site_fract_y
_atom_site_fract_z
Sc1 0.097 0.000 0.382
Sc2 0.143 0.318 0.382
Sc3 0.202 0.167 0.109
Sc4 0.204 0.500 0.109
C1 0.000 0.000 0.000
C2 0.000 0.167 0.500
C3 0.000 0.334 0.000
S1 0.000 0.500 0.500
```